Entry 1:
TbY3Pt12: simulated powder diffraction line list (Cu Kα X-rays), based on a cell relaxed with PBE.
Intensities are scaled so that the largest is 100.

Peak list (10 most intense, 10° ≤ 2θ ≤ 90°, low angle first)
2theta, intensity, h k l
21.52, 4, 1 0 0
30.62, 4, 1 1 0
37.74, 100, 1 1 4
43.79, 33, 2 0 0
44.00, 16, 0 0 8
63.65, 11, 2 2 0
63.81, 22, 2 0 8
76.43, 26, 3 1 4
76.73, 13, 1 1 12
80.61, 11, 2 2 8

```
data_TbY3Pt12
_chemical_formula_sum 'Tb1 Y3 Pt12'
_cell_length_a 4.1349
_cell_length_b 4.1349
_cell_length_c 16.4645
_cell_angle_alpha 90.00
_cell_angle_beta 90.00
_cell_angle_gamma 90.00
_space_group_name_H-M_alt 'P 4/m m m'
_space_group_IT_number 123
_space_group_name_Hall '-P 4 2'
loop_
_atom_site_label
_atom_site_type_symbol
_atom_site_fract_x
_atom_site_fract_y
_atom_site_fract_z
Tb1 Tb 0.0000 0.0000 0.0000
Y1 Y 0.0000 0.0000 0.2500
Y2 Y 0.0000 0.0000 0.5000
Pt1 Pt 0.0000 0.5000 0.1250
Pt2 Pt 0.0000 0.5000 0.3751
Pt3 Pt 0.5000 0.5000 0.0000
Pt4 Pt 0.5000 0.5000 0.2501
Pt5 Pt 0.5000 0.5000 0.5000
```

=====

Entry 2:
Tb3YPt12: simulated powder diffraction line list (Cu Kα X-rays), based on a cell relaxed with PBE.
Intensities are scaled so that the largest is 100.

Peak list (10 most intense, 10° ≤ 2θ ≤ 90°, low angle first)
2theta, intensity, h k l
21.49, 1, 1 0 0
30.62, 1, 1 1 0
37.73, 100, 1 1 4
43.78, 33, 2 0 0
43.99, 16, 0 0 8
63.64, 11, 2 2 0
63.80, 22, 2 0 8
76.42, 26, 3 1 4
76.72, 13, 1 1 12
80.59, 11, 2 2 8

```
data_Tb3YPt12
_chemical_formula_sum 'Tb3 Y1 Pt12'
_cell_length_a 4.1356
_cell_length_b 4.1356
_cell_length_c 16.4663
_cell_angle_alpha 90.00
_cell_angle_beta 90.00
_cell_angle_gamma 90.00
_space_group_name_H-M_alt 'P 4/m m m'
_space_group_IT_number 123
_space_group_name_Hall '-P 4 2'
loop_
_atom_site_label
_atom_site_type_symbol
_atom_site_fract_x
_atom_site_fract_y
_atom_site_fract_z
Tb1 Tb 0.0000 0.0000 0.0000
Tb2 Tb 0.0000 0.0000 0.2500
Y1 Y 0.0000 0.0000 0.5000
Pt1 Pt 0.0000 0.5000 0.1250
Pt2 Pt 0.0000 0.5000 0.3750
Pt3 Pt 0.5000 0.5000 0.0000
Pt4 Pt 0.5000 0.5000 0.2501
Pt5 Pt 0.5000 0.5000 0.5000
```

=====

Entry 3:
Tb5YPt6: simulated powder diffraction line list (Cu Kα X-rays), based on a cell relaxed with PBE.
Intensities are scaled so that the largest is 100.

Peak list (10 most intense, 10° ≤ 2θ ≤ 90°, low angle first)
2theta, intensity, h k l
36.05, 51, 6 0 0
36.31, 100, 2 2 1
51.79, 9, 4 0 2
52.01, 9, 8 0 -2
52.67, 9, 0 4 0
64.88, 9, 0 2 3
64.98, 19, 8 2 1
65.09, 9, 10 2 -1
65.49, 18, 6 4 0
88.93, 8, 2 6 1

```
data_Tb5YPt6
_chemical_formula_sum 'Tb10 Y2 Pt12'
_cell_length_a 15.7302
_cell_length_b 6.9511
_cell_length_c 4.9864
_cell_angle_alpha 90.00
_cell_angle_beta 108.25
_cell_angle_gamma 90.00
_space_group_name_H-M_alt 'C 1 2/m 1'
_space_group_IT_number 12
loop_
_space_group_symop_operation_xyz
'x,y,z'
'-x,-y,-z'
'-x,y,-z'
'x,-y,z'
'x+1/2,y+1/2,z'
'-x+1/2,-y+1/2,-z'
'-x+1/2,y+1/2,-z'
'x+1/2,-y+1/2,z'
loop_
_atom_site_label
_atom_site_type_symbol
_atom_site_fract_x
_atom_site_fract_y
_atom_site_fract_z
Tb1 Tb 0.0000 0.0000 0.0000
Tb2 Tb 0.1662 0.5000 0.6659
Tb3 Tb 0.1667 0.0000 0.6668
Y1 Y 0.0000 0.5000 0.0000
Pt1 Pt 0.0000 0.2491 0.5000
Pt2 Pt 0.1668 0.2496 0.1665
```

=====

Entry 4:
TbY3Pt: simulated powder diffraction line list (Cu Kα X-rays), based on a cell relaxed with PBE.
Intensities are scaled so that the largest is 100.

Peak list (10 most intense, 10° ≤ 2θ ≤ 90°, low angle first)
2theta, intensity, h k l
14.51, 70, 2 0 -1
30.63, 100, 1 1 -3
32.01, 66, 2 0 3
32.61, 75, 3 1 -2
32.75, 28, 4 0 -4
34.13, 89, 3 1 0
34.24, 43, 3 1 -3
35.37, 61, 1 1 3
41.06, 34, 1 1 -5
48.38, 35, 0 2 0

```
data_TbY3Pt
_chemical_formula_sum 'Tb4 Y12 Pt4'
_cell_length_a 12.2068
_cell_length_b 3.7631
_cell_length_c 13.8913
_cell_angle_alpha 90.00
_cell_angle_beta 115.59
_cell_angle_gamma 90.00
_space_group_name_H-M_alt 'C 1 m 1'
_space_group_IT_number 8
loop_
_space_group_symop_operation_xyz
'x,y,z'
'x,-y,z'
'x+1/2,y+1/2,z'
'x+1/2,-y+1/2,z'
loop_
_atom_site_label
_atom_site_type_symbol
_atom_site_fract_x
_atom_site_fract_y
_atom_site_fract_z
Tb1 Tb 0.0000 0.0000 0.0000
Tb2 Tb 0.1101 0.0000 0.2838
Y1 Y 0.1523 0.5000 0.5265
Y2 Y 0.1677 0.5000 0.8878
Y3 Y 0.3190 0.0000 0.7647
Y4 Y 0.3376 0.0000 0.1249
Y5 Y 0.3797 0.5000 0.3668
Y6 Y 0.4876 0.5000 0.6500
Pt1 Pt 0.1643 0.5000 0.1526
Pt2 Pt 0.3225 0.0000 0.4969
```

=====

Entry 5:
Tb2Zn5Pt5: simulated powder diffraction line list (Cu Kα X-rays), based on a cell relaxed with PBE.
Intensities are scaled so that the largest is 100.

Peak list (10 most intense, 10° ≤ 2θ ≤ 90°, low angle first)
2theta, intensity, h k l
20.38, 21, 1 0 0
33.69, 29, 0 1 3
34.13, 24, 0 2 0
39.70, 100, 1 1 3
40.08, 33, 1 2 0
41.45, 33, 2 0 0
44.80, 17, 1 2 2
64.86, 24, 1 3 3
74.43, 16, 3 1 3
85.54, 16, 2 2 6

```
data_Tb2Zn5Pt5
_chemical_formula_sum 'Tb2 Zn5 Pt5'
_cell_length_a 4.3567
_cell_length_b 5.2535
_cell_length_c 9.2560
_cell_angle_alpha 90.00
_cell_angle_beta 90.00
_cell_angle_gamma 90.00
_space_group_name_H-M_alt 'P m m m'
_space_group_IT_number 47
loop_
_space_group_symop_operation_xyz
'x,y,z'
'-x,-y,-z'
'-x,-y,z'
'x,y,-z'
'x,-y,-z'
'-x,y,z'
'-x,y,-z'
'x,-y,z'
loop_
_atom_site_label
_atom_site_type_symbol
_atom_site_fract_x
_atom_site_fract_y
_atom_site_fract_z
Tb1 Tb 0.0000 0.0000 0.0000
Tb2 Tb 0.0000 0.5000 0.5000
Zn1 Zn 0.5000 0.0000 0.5000
Zn2 Zn 0.5000 0.2508 0.2506
Pt1 Pt 0.0000 0.0000 0.3331
Pt2 Pt 0.0000 0.5000 0.1781
Pt3 Pt 0.5000 0.5000 0.0000
```

=====

Entry 6:
TbZn9Pt2: simulated powder diffraction line list (Cu Kα X-rays), based on a cell relaxed with PBE.
Intensities are scaled so that the largest is 100.

Peak list (10 most intense, 10° ≤ 2θ ≤ 90°, low angle first)
2theta, intensity, h k l
20.28, 54, 1 1 0
36.55, 78, 1 1 1
38.49, 28, 2 0 1
41.24, 100, 2 2 0
43.89, 19, 2 1 1
47.21, 41, 3 0 1
64.45, 28, 4 1 1
75.17, 14, 6 0 0
77.68, 30, 2 2 2
86.60, 16, 5 2 1

```
data_TbZn9Pt2
_chemical_formula_sum 'Tb1 Zn9 Pt2'
_cell_length_a 8.7564
_cell_length_b 8.7564
_cell_length_c 2.9711
_cell_angle_alpha 90.00
_cell_angle_beta 90.00
_cell_angle_gamma 120.00
_space_group_name_H-M_alt 'P 6/m m m'
_space_group_IT_number 191
_space_group_name_Hall '-P 6 2'
loop_
_atom_site_label
_atom_site_type_symbol
_atom_site_fract_x
_atom_site_fract_y
_atom_site_fract_z
Tb1 Tb 0.0000 0.0000 0.0000
Zn1 Zn 0.0000 0.5000 0.0000
Zn2 Zn 0.1825 0.3650 0.5000
Pt1 Pt 0.3333 0.6667 0.0000
```

=====

Entry 7:
TbZnPt3: simulated powder diffraction line list (Cu Kα X-rays), based on a cell relaxed with PBE.
Intensities are scaled so that the largest is 100.

Peak list (10 most intense, 10° ≤ 2θ ≤ 90°, low angle first)
2theta, intensity, h k l
30.29, 22, 1 2 0
30.71, 27, 2 0 0
31.60, 70, 0 2 1
33.44, 31, 2 1 0
35.25, 30, 1 2 1
35.64, 100, 0 0 2
38.04, 44, 2 1 1
40.68, 32, 2 2 0
44.65, 25, 2 2 1
55.19, 26, 2 2 2

```
data_TbZnPt3
_chemical_formula_sum 'Tb2 Zn2 Pt6'
_cell_length_a 5.8234
_cell_length_b 6.8458
_cell_length_c 5.0365
_cell_angle_alpha 90.00
_cell_angle_beta 90.00
_cell_angle_gamma 90.00
_space_group_name_H-M_alt 'P b a m'
_space_group_IT_number 55
loop_
_space_group_symop_operation_xyz
'x,y,z'
'-x,-y,-z'
'-x,-y,z'
'x,y,-z'
'x+1/2,-y+1/2,-z'
'-x+1/2,y+1/2,z'
'-x+1/2,y+1/2,-z'
'x+1/2,-y+1/2,z'
loop_
_atom_site_label
_atom_site_type_symbol
_atom_site_fract_x
_atom_site_fract_y
_atom_site_fract_z
Tb1 Tb 0.0000 0.0000 0.0000
Zn1 Zn 0.0000 0.5000 0.5000
Pt1 Pt 0.0000 0.5000 0.0000
Pt2 Pt 0.1310 0.1650 0.5000
```

=====

Entry 8:
Tb3Zn4Pt2: simulated powder diffraction line list (Cu Kα X-rays), based on a cell relaxed with PBE.
Intensities are scaled so that the largest is 100.

Peak list (10 most intense, 10° ≤ 2θ ≤ 90°, low angle first)
2theta, intensity, h k l
17.06, 26, 2 0 -1
32.32, 21, 3 1 -1
33.97, 33, 4 0 -1
34.53, 67, 3 1 0
35.11, 100, 1 1 2
39.99, 85, 3 1 -3
40.70, 47, 0 2 0
52.91, 24, 4 0 2
68.82, 24, 4 2 2
73.60, 18, 3 3 -3

```
data_Tb3Zn4Pt2
_chemical_formula_sum 'Tb6 Zn8 Pt4'
_cell_length_a 10.6425
_cell_length_b 4.4341
_cell_length_c 8.4844
_cell_angle_alpha 90.00
_cell_angle_beta 115.38
_cell_angle_gamma 90.00
_space_group_name_H-M_alt 'C 1 2/m 1'
_space_group_IT_number 12
loop_
_space_group_symop_operation_xyz
'x,y,z'
'-x,-y,-z'
'-x,y,-z'
'x,-y,z'
'x+1/2,y+1/2,z'
'-x+1/2,-y+1/2,-z'
'-x+1/2,y+1/2,-z'
'x+1/2,-y+1/2,z'
loop_
_atom_site_label
_atom_site_type_symbol
_atom_site_fract_x
_atom_site_fract_y
_atom_site_fract_z
Tb1 Tb 0.0000 0.0000 0.0000
Tb2 Tb 0.1832 0.5000 0.6443
Zn1 Zn 0.0280 0.0000 0.3691
Zn2 Zn 0.2164 0.5000 0.0466
Pt1 Pt 0.0979 0.5000 0.2643
```

=====

Entry 9:
Tb3ZnPt8: simulated powder diffraction line list (Cu Kα X-rays), based on a cell relaxed with PBE.
Intensities are scaled so that the largest is 100.

Peak list (10 most intense, 10° ≤ 2θ ≤ 90°, low angle first)
2theta, intensity, h k l
20.10, 21, 0 0 6
33.11, 17, 1 1 0
39.04, 100, 2 0 2
40.85, 55, 0 2 4
47.53, 12, 2 0 8
63.13, 29, 3 0 6
69.43, 16, 2 2 0
69.54, 13, 0 2 16
82.66, 9, 0 4 2
83.84, 16, 4 0 4

```
data_Tb3ZnPt8
_chemical_formula_sum 'Tb9 Zn3 Pt24'
_cell_length_a 5.4144
_cell_length_b 5.4144
_cell_length_c 26.4713
_cell_angle_alpha 90.00
_cell_angle_beta 90.00
_cell_angle_gamma 120.00
_space_group_name_H-M_alt 'R 3 m'
_space_group_IT_number 160
_space_group_name_Hall 'R 3 -2"'
loop_
_atom_site_label
_atom_site_type_symbol
_atom_site_fract_x
_atom_site_fract_y
_atom_site_fract_z
Tb1 Tb 0.0000 0.0000 0.0000
Tb2 Tb 0.0000 0.0000 0.1295
Tb3 Tb 0.0000 0.0000 0.6112
Zn1 Zn 0.0000 0.0000 0.4841
Pt1 Pt 0.0000 0.0000 0.3104
Pt2 Pt 0.0000 0.0000 0.8108
Pt3 Pt 0.0028 0.5014 0.5608
Pt4 Pt 0.1670 0.3340 0.3932
```

=====

Entry 10:
Tb2ZnPt7: simulated powder diffraction line list (Cu Kα X-rays), based on a cell relaxed with PBE.
Intensities are scaled so that the largest is 100.

Peak list (10 most intense, 10° ≤ 2θ ≤ 90°, low angle first)
2theta, intensity, h k l
18.57, 22, 2 0 0
26.38, 7, 2 2 0
32.46, 96, 2 2 2
37.65, 100, 4 0 0
42.30, 10, 4 2 0
54.30, 70, 4 4 0
64.71, 39, 6 2 2
67.96, 23, 4 4 4
80.39, 11, 8 0 0
89.38, 17, 6 6 2

```
data_Tb2ZnPt7
_chemical_formula_sum 'Tb8 Zn4 Pt28'
_cell_length_a 9.5561
_cell_length_b 9.5561
_cell_length_c 9.5561
_cell_angle_alpha 90.00
_cell_angle_beta 90.00
_cell_angle_gamma 90.00
_space_group_name_H-M_alt 'F m -3 m'
_space_group_IT_number 225
_space_group_name_Hall '-F 4 2 3'
loop_
_atom_site_label
_atom_site_type_symbol
_atom_site_fract_x
_atom_site_fract_y
_atom_site_fract_z
Tb1 Tb 0.2500 0.2500 0.2500
Zn1 Zn 0.0000 0.0000 0.0000
Pt1 Pt 0.0000 0.0000 0.2412
Pt2 Pt 0.0000 0.0000 0.5000
```

=====

Entry 11:
Tb2Zn15Pt2: simulated powder diffraction line list (Cu Kα X-rays), based on a cell relaxed with PBE.
Intensities are scaled so that the largest is 100.

Peak list (10 most intense, 10° ≤ 2θ ≤ 90°, low angle first)
2theta, intensity, h k l
13.22, 38, 1 0 1
19.79, 36, 1 1 0
34.63, 72, 3 0 0
35.66, 62, 0 2 4
40.21, 100, 2 2 0
40.39, 61, 0 3 3
41.12, 45, 2 1 4
41.30, 45, 2 0 5
45.37, 46, 2 2 3
74.22, 32, 0 3 9

```
data_Tb2Zn15Pt2
_chemical_formula_sum 'Tb6 Zn45 Pt6'
_cell_length_a 8.9718
_cell_length_b 8.9718
_cell_length_c 13.2210
_cell_angle_alpha 90.00
_cell_angle_beta 90.00
_cell_angle_gamma 120.00
_space_group_name_H-M_alt 'R -3 m'
_space_group_IT_number 166
_space_group_name_Hall '-R 3 2"'
loop_
_atom_site_label
_atom_site_type_symbol
_atom_site_fract_x
_atom_site_fract_y
_atom_site_fract_z
Tb1 Tb 0.0000 0.0000 0.1645
Zn1 Zn 0.0000 0.2870 0.5000
Zn2 Zn 0.0000 0.5000 0.0000
Zn3 Zn 0.0058 0.5029 0.6504
Pt1 Pt 0.0000 0.0000 0.3879
```

=====

Entry 12:
TbZn2Pt5: simulated powder diffraction line list (Cu Kα X-rays), based on a cell relaxed with PBE.
Intensities are scaled so that the largest is 100.

Peak list (10 most intense, 10° ≤ 2θ ≤ 90°, low angle first)
2theta, intensity, h k l
15.09, 22, 0 1 1
35.30, 84, 1 0 3
35.51, 100, 1 2 1
43.43, 59, 0 2 4
44.81, 26, 1 3 0
47.77, 29, 2 0 0
50.57, 14, 1 0 5
66.53, 33, 2 2 4
74.29, 18, 1 2 7
80.92, 23, 1 5 4

```
data_TbZn2Pt5
_chemical_formula_sum 'Tb2 Zn4 Pt10'
_cell_length_a 3.8077
_cell_length_b 7.1611
_cell_length_c 10.2484
_cell_angle_alpha 90.00
_cell_angle_beta 90.00
_cell_angle_gamma 90.00
_space_group_name_H-M_alt 'I m m m'
_space_group_IT_number 71
_space_group_name_Hall '-I 2 2'
loop_
_atom_site_label
_atom_site_type_symbol
_atom_site_fract_x
_atom_site_fract_y
_atom_site_fract_z
Tb1 Tb 0.0000 0.0000 0.0000
Zn1 Zn 0.0000 0.5000 0.2457
Pt1 Pt 0.0000 0.2032 0.3630
Pt2 Pt 0.0000 0.5000 0.0000
```

=====

Entry 13:
Tb2ZrPt9: simulated powder diffraction line list (Cu Kα X-rays), based on a cell relaxed with PBE.
Intensities are scaled so that the largest is 100.

Peak list (10 most intense, 10° ≤ 2θ ≤ 90°, low angle first)
2theta, intensity, h k l
21.66, 2, 1 0 0
30.82, 2, 1 1 0
36.49, 1, 0 0 5
37.98, 100, 1 1 3
44.14, 49, 2 0 0
49.68, 1, 2 1 0
54.80, 1, 2 1 3
64.20, 32, 2 2 0
77.09, 38, 3 1 3
81.21, 11, 2 2 6

```
data_Tb2ZrPt9
_chemical_formula_sum 'Tb2 Zr1 Pt9'
_cell_length_a 4.1027
_cell_length_b 4.1027
_cell_length_c 12.3133
_cell_angle_alpha 90.00
_cell_angle_beta 90.00
_cell_angle_gamma 90.00
_space_group_name_H-M_alt 'P 4/m m m'
_space_group_IT_number 123
_space_group_name_Hall '-P 4 2'
loop_
_atom_site_label
_atom_site_type_symbol
_atom_site_fract_x
_atom_site_fract_y
_atom_site_fract_z
Tb1 Tb 0.0000 0.0000 0.1670
Zr1 Zr 0.0000 0.0000 0.5000
Pt1 Pt 0.0000 0.5000 0.0000
Pt2 Pt 0.0000 0.5000 0.3402
Pt3 Pt 0.5000 0.5000 0.1702
Pt4 Pt 0.5000 0.5000 0.5000
```